This entry pairs a crystal structure of MgCr2Hg2O8 with its calculated PXRD pattern. Radiation: Cu Ka. Structure: DFT lattice parameters and positions (PBE+U).

Atomic structure:
Cell lengths 6.785, 5.534, 5.534 Å; angles 69.20, 90.00, 90.00 degrees
Fractional positions:
1 Mg 0.000 0.000 0.000
2 Cr 0.000 0.697 0.697
3 Cr 0.500 0.977 0.977
4 Hg 0.269 0.331 0.331
5 Hg 0.731 0.331 0.331
6 O 0.000 0.029 0.606
7 O 0.000 0.606 0.029
8 O 0.195 0.591 0.591
9 O 0.266 0.082 0.082
10 O 0.500 0.100 0.637
11 O 0.500 0.637 0.100
12 O 0.734 0.082 0.082
13 O 0.805 0.591 0.591

The 8 most intense peaks (2θ from 10° to 90°), sorted by position:
| 2theta | I_rel |
| --- | --- |
| 17.14 | 82 |
| 19.49 | 44 |
| 28.40 | 41 |
| 31.54 | 100 |
| 32.75 | 52 |
| 44.02 | 31 |
| 52.29 | 29 |
| 56.82 | 28 |